# VH7C4O8
Theoretical powder X-ray diffraction pattern, Cu Kα (λ = 1.5418 Å). Input: a structure optimized by DFT (GGA+U).
Lines closer than 0.1° are merged.

Structure:
```
40
Lattice="7.6673 0.0000 0.0000 -3.1923 6.9941 0.0000 -0.6711 -2.9863 7.7106" Properties=species:S:1:pos:R:3 pbc="T T T"
V 0.7594 1.0417 0.8061
V 3.0445 2.9662 6.9045
H -2.1678 5.4799 1.1466
H -1.1713 1.0392 6.0716
H -1.5292 2.2587 7.0430
H 0.3849 3.6698 0.4264
H 0.6639 3.4417 2.0330
H 0.5176 2.5326 6.0989
H 2.5367 0.5598 2.8010
H 1.2672 3.4481 4.9096
H 3.2863 1.4752 1.6117
H 3.1400 0.5662 5.6776
H 3.4190 0.3381 7.2842
H 5.3331 1.7492 0.6676
H 4.9752 2.9687 1.6390
H 5.9717 -1.4720 6.5640
C -2.6745 4.2475 4.9461
C -2.0231 4.7331 3.7142
C 1.2283 -1.7409 5.7285
C 1.8611 -1.2145 4.5172
C 1.9428 5.2224 3.1934
C 2.5757 5.7487 1.9821
C 5.8270 -0.7252 3.9964
C 6.4784 -0.2397 2.7645
O -2.1002 4.4267 2.4965
O -2.2575 6.0616 0.3359
O -0.2957 0.6335 2.5349
O -0.7811 1.7010 6.7071
O 0.4052 3.0029 1.1647
O 1.2615 -1.3720 6.9424
O 2.4487 1.0015 1.9061
O 2.6072 -0.2184 4.2905
O 1.1967 4.2263 3.4201
O 1.3553 3.0063 5.8045
O 2.5424 5.3798 0.7682
O 3.3987 1.0050 6.5459
O 4.5851 2.3069 1.0035
O 4.0996 3.3743 5.1757
O 6.0614 -2.0538 7.3747
O 5.9041 -0.4189 5.2141
```

Principal peaks in the range 10 to 90 degrees two-theta, in order of rising 2θ:
| 2θ (°) | I/Imax | index |
| --- | --- | --- |
| 13.6 | 55 | 0 1 0 |
| 13.8 | 100 | 1 -1 0 |
| 16.8 | 47 | 1 -1 1 |
| 22.1 | 33 | 0 1 -2 |
| 23.7 | 43 | 1 -2 1 |
| 28.7 | 46 | 2 -2 1 |